Entry 1:
Structure and theoretical powder diffraction line list of NaCuO2 (a DFT-relaxed cell (PBE, the Materials Project); Cu Kα (weighted mean of Kα1 and Kα2)).
Peak positions follow from Bragg's law for the DFT cell and can differ from measured ones.

Principal peaks in the range 2θ from 15° to 90°, by intensity:
hkl  2θ (°)  d (Å)  Rel. int.
1 0 1  35.96  2.497  100.0
0 0 1  26.60  3.351  40.5
2 1 1  61.93  1.498  36.5
2 0 0  48.61  1.873  35.3
1 0 0  23.75  3.746  33.3
1 1 0  33.84  2.649  24.4

Cell: 3.746 3.746 3.351 Å, 90.00 90.00 90.00°
Sites, in units of the cell vectors:
Na (0.000, 0.000, 0.000)
Cu (0.500, 0.500, 0.500)
O (0.000, 0.500, 0.500)
O (0.500, 0.000, 0.500)

---

Entry 2:
Structure and theoretical powder diffraction line list of Na2CuO2 (a DFT-relaxed cell (PBE, the Materials Project); Cu Kα (weighted mean of Kα1 and Kα2)).
Peak positions follow from Bragg's law for the DFT cell and can differ from measured ones.

Principal peaks in the range 2θ from 15° to 90°, by intensity:
hkl  2θ (°)  d (Å)  Rel. int.
1 0 -2  23.32  3.814  100.0
0 0 2  22.77  3.905  97.8
1 0 2  32.50  2.755  82.9
2 1 -1  44.28  2.046  66.2
1 0 -4  43.77  2.068  64.2
2 0 -2  33.71  2.659  63.5

Cell: 5.681 2.948 8.277 Å, 90.00 109.35 90.00°
Sites, in units of the cell vectors:
Na (0.115, 0.250, 0.380)
Na (0.180, 0.250, 0.942)
Na (0.820, 0.750, 0.058)
Na (0.885, 0.750, 0.620)
Cu (0.475, 0.750, 0.739)
Cu (0.525, 0.250, 0.261)
O (0.231, 0.250, 0.677)
O (0.268, 0.750, 0.182)
O (0.732, 0.250, 0.818)
O (0.769, 0.750, 0.323)